For PrCuSn2Ir, a structure optimized by DFT (PBE) gives the calculated X-ray diffraction stick pattern in this record (Cu Kα (weighted mean of Kα1 and Kα2)).
Peak positions follow from Bragg's law for the DFT cell and can differ from measured ones.

Principal peaks in the range 15° ≤ 2θ ≤ 90°, sorted by position:
Position (°2θ), I (rel.), h k l
31.84, 28, 1 0 3
32.90, 100, 1 1 2
40.57, 49, 2 0 0
44.01, 29, 1 1 4
46.45, 14, 1 0 5
52.47, 14, 2 1 3
58.74, 28, 2 2 0
68.98, 30, 0 0 8

Crystal structure
a b c (Å): 4.4476 4.4476 10.8817
angles (deg): 90.00 90.00 90.00
Space group P4/nmm (No. 129, origin choice 2)
One atom of each set of equivalent atoms:
Pr: 0.2500 0.2500 0.2389
Cu: 0.2500 0.2500 0.6345
Sn: 0.2500 0.2500 0.8658
Sn: 0.2500 0.7500 0.5000
Ir: 0.2500 0.7500 0.0000